Diffraction record for Ta2RhPb. The XRD peak list is computed, not measured: it uses a DFT-relaxed cell (GGA-PBE, Alexandria) and Cu Kα (λ = 1.5418 Å).

Principal peaks in the range 2θ = 10–90°, by angle:
Position (°2θ), d/Å, I/Imax
24.07, 3.697, 4
37.24, 2.415, 100
40.49, 2.228, 20
44.60, 2.032, 30
61.80, 1.501, 23
64.91, 1.437, 10
71.51, 1.319, 15
77.28, 1.235, 24
79.36, 1.207, 11
87.60, 1.114, 3

Atomic structure:
```
4
Lattice="-2.032 2.032 4.456 2.032 -2.032 4.456 2.032 2.032 -4.456" Properties=species:S:1:pos:R:3 pbc="T T T"
Ta 0.000 0.000 0.000
Ta 0.000 2.032 2.228
Rh 0.000 0.000 4.456
Pb 2.032 0.000 2.228
```


Diffraction record for Tb3Rh2Pb. The XRD peak list is computed, not measured: it uses a DFT-relaxed cell (GGA-PBE, Alexandria) and Cu Kα (λ = 1.5418 Å).

Principal peaks in the range 2θ = 10–90°, by angle:
Position (°2θ), d/Å, I/Imax
27.03, 3.298, 7
30.11, 2.968, 14
34.69, 2.586, 100
37.00, 2.429, 52
40.34, 2.236, 7
48.58, 1.874, 7
53.33, 1.718, 18
60.64, 1.527, 10
65.20, 1.431, 32
89.05, 1.099, 7

Atomic structure:
```
6
Lattice="3.436 0.000 0.000 0.000 3.436 0.000 0.000 0.000 11.781" Properties=species:S:1:pos:R:3 pbc="T T T"
Tb 0.000 0.000 0.000
Tb 0.000 0.000 3.459
Tb 0.000 0.000 8.322
Rh 1.718 1.718 1.775
Rh 1.718 1.718 10.006
Pb 1.718 1.718 5.890
```